Starting from a structure optimized by DFT (PBE), the powder XRD pattern of Be2BOs was simulated for copper Kα.
No peak broadening, texture or thermal motion is included.

Principal peaks in the range 2θ from 10° to 80°, in order of rising 2θ:
| 2θ/deg | intensity |
| --- | --- |
| 26.38 | 56 |
| 27.04 | 93 |
| 30.94 | 100 |
| 37.51 | 65 |
| 44.03 | 30 |
| 45.28 | 34 |
| 48.39 | 36 |
| 50.56 | 32 |
| 53.07 | 24 |
| 54.35 | 27 |

Atomic structure:
```
Be2BOs
1.0
4.0892 0.0000 0.0000
0.0000 9.6267 0.0000
-1.9284 0.0000 3.6137
Be B Os
8 4 4
direct
0.1779 0.0836 0.1082
0.1779 0.9164 0.6082
0.3221 0.4164 0.8918
0.3221 0.5836 0.3918
0.6779 0.4164 0.6082
0.6779 0.5836 0.1082
0.8221 0.0836 0.3918
0.8221 0.9164 0.8918
0.0000 0.2471 0.7500
0.0000 0.7529 0.2500
0.5000 0.2529 0.2500
0.5000 0.7471 0.7500
0.0000 0.3499 0.2500
0.0000 0.6501 0.7500
0.5000 0.1501 0.7500
0.5000 0.8499 0.2500
```


Starting from a structure optimized by DFT (PBE), the powder XRD pattern of PaBeB2 was simulated for copper Kα.
No peak broadening, texture or thermal motion is included.

Principal peaks in the range 2θ from 10° to 80°, in order of rising 2θ:
| 2θ/deg | intensity |
| --- | --- |
| 18.90 | 21 |
| 21.52 | 30 |
| 26.86 | 46 |
| 28.80 | 100 |
| 34.67 | 44 |
| 38.36 | 20 |
| 43.09 | 29 |
| 48.15 | 26 |
| 52.66 | 29 |
| 59.64 | 21 |

Atomic structure:
```
PaBeB2
1.0
4.5980 0.0000 0.0000
0.0000 9.3889 0.0000
0.0000 0.0000 4.6927
Pa Be B
4 4 8
direct
0.0000 0.1716 0.2500
0.0000 0.8284 0.7500
0.5000 0.3284 0.7500
0.5000 0.6716 0.2500
0.0000 0.5000 0.0000
0.0000 0.5000 0.5000
0.5000 0.0000 0.0000
0.5000 0.0000 0.5000
0.1842 0.0930 0.7500
0.1842 0.9070 0.2500
0.3158 0.4070 0.2500
0.3158 0.5930 0.7500
0.6842 0.4070 0.2500
0.6842 0.5930 0.7500
0.8158 0.0930 0.7500
0.8158 0.9070 0.2500
```


Starting from a structure optimized by DFT (PBE), the powder XRD pattern of BeBPb2 was simulated for copper Kα.
No peak broadening, texture or thermal motion is included.

Principal peaks in the range 2θ from 10° to 80°, in order of rising 2θ:
| 2θ/deg | intensity |
| --- | --- |
| 27.34 | 100 |
| 30.04 | 36 |
| 34.72 | 13 |
| 43.00 | 17 |
| 46.56 | 25 |
| 51.72 | 31 |
| 56.41 | 13 |
| 57.84 | 13 |
| 70.83 | 7 |
| 74.72 | 11 |

Atomic structure:
```
BeBPb2
1.0
5.9485 0.0000 0.0000
0.0000 5.9485 0.0000
0.0000 0.0000 10.3354
Be B Pb
4 4 8
direct
0.0000 0.0000 0.0000
0.0000 0.5000 0.2500
0.5000 0.0000 0.7500
0.5000 0.5000 0.5000
0.0000 0.0000 0.5000
0.0000 0.5000 0.7500
0.5000 0.0000 0.2500
0.5000 0.5000 0.0000
0.2207 0.2500 0.6250
0.2500 0.7207 0.8750
0.2500 0.7793 0.3750
0.2793 0.2500 0.1250
0.7207 0.7500 0.1250
0.7500 0.2207 0.3750
0.7500 0.2793 0.8750
0.7793 0.7500 0.6250
```


Starting from a structure optimized by DFT (PBE), the powder XRD pattern of Pm3BeB2Pt8 was simulated for copper Kα.
No peak broadening, texture or thermal motion is included.

Principal peaks in the range 2θ from 10° to 80°, in order of rising 2θ:
| 2θ/deg | intensity |
| --- | --- |
| 26.59 | 14 |
| 28.37 | 28 |
| 34.15 | 64 |
| 37.83 | 76 |
| 38.99 | 100 |
| 42.50 | 22 |
| 54.75 | 23 |
| 59.10 | 28 |
| 62.81 | 15 |
| 68.16 | 25 |

Atomic structure:
```
Pm3BeB2Pt8
1.0
5.5028 0.0000 0.0000
-2.7514 4.7656 0.0000
0.0000 0.0000 9.4367
Pm Be B Pt
3 1 2 8
direct
0.0000 0.0000 0.0000
0.3333 0.6667 0.5837
0.6667 0.3333 0.4163
0.0000 0.0000 0.5000
0.3333 0.6667 0.1427
0.6667 0.3333 0.8573
0.1645 0.3290 0.2911
0.1645 0.8355 0.2911
0.3290 0.1645 0.7089
0.3333 0.6667 0.9332
0.6667 0.3333 0.0668
0.6710 0.8355 0.2911
0.8355 0.1645 0.7089
0.8355 0.6710 0.7089
```


Starting from a structure optimized by DFT (PBE), the powder XRD pattern of Pm2BeB2Rh5 was simulated for copper Kα.
No peak broadening, texture or thermal motion is included.

Principal peaks in the range 2θ from 10° to 80°, in order of rising 2θ:
| 2θ/deg | intensity |
| --- | --- |
| 33.90 | 32 |
| 35.19 | 78 |
| 38.99 | 100 |
| 40.19 | 29 |
| 41.27 | 61 |
| 42.46 | 17 |
| 44.58 | 28 |
| 57.92 | 16 |
| 69.83 | 30 |
| 72.05 | 26 |

Atomic structure:
```
Pm2BeB2Rh5
1.0
9.5200 0.0000 0.0000
0.0000 9.5200 0.0000
0.0000 0.0000 3.1844
Pm Be B Rh
4 2 4 10
direct
0.1766 0.3234 0.0000
0.3234 0.8234 0.0000
0.6766 0.1766 0.0000
0.8234 0.6766 0.0000
0.0000 0.0000 0.0000
0.5000 0.5000 0.0000
0.1235 0.6235 0.0000
0.3765 0.1235 0.0000
0.6235 0.8765 0.0000
0.8765 0.3765 0.0000
0.0000 0.5000 0.5000
0.0675 0.7846 0.5000
0.2154 0.0675 0.5000
0.2846 0.5675 0.5000
0.4325 0.2846 0.5000
0.5000 0.0000 0.5000
0.5675 0.7154 0.5000
0.7154 0.4325 0.5000
0.7846 0.9325 0.5000
0.9325 0.2154 0.5000
```


Starting from a structure optimized by DFT (PBE), the powder XRD pattern of Tb3BeB2Pt8 was simulated for copper Kα.
No peak broadening, texture or thermal motion is included.

Principal peaks in the range 2θ from 10° to 80°, in order of rising 2θ:
| 2θ/deg | intensity |
| --- | --- |
| 28.79 | 25 |
| 34.61 | 66 |
| 38.13 | 20 |
| 38.28 | 53 |
| 39.39 | 100 |
| 42.97 | 22 |
| 55.46 | 21 |
| 59.80 | 29 |
| 63.68 | 14 |
| 68.91 | 25 |

Atomic structure:
```
Tb3BeB2Pt8
1.0
5.4503 0.0000 0.0000
-2.7252 4.7201 0.0000
0.0000 0.0000 9.3043
Tb Be B Pt
3 1 2 8
direct
0.0000 0.0000 0.0000
0.3333 0.6667 0.5828
0.6667 0.3333 0.4172
0.0000 0.0000 0.5000
0.3333 0.6667 0.1394
0.6667 0.3333 0.8606
0.1648 0.3295 0.2918
0.1648 0.8352 0.2918
0.3295 0.1648 0.7082
0.3333 0.6667 0.9270
0.6667 0.3333 0.0730
0.6705 0.8352 0.2918
0.8352 0.1648 0.7082
0.8352 0.6705 0.7082
```


Starting from a structure optimized by DFT (PBE), the powder XRD pattern of YBeBPt6 was simulated for copper Kα.
No peak broadening, texture or thermal motion is included.

Principal peaks in the range 2θ from 10° to 80°, in order of rising 2θ:
| 2θ/deg | intensity |
| --- | --- |
| 23.51 | 19 |
| 33.05 | 38 |
| 33.94 | 100 |
| 35.60 | 13 |
| 37.29 | 11 |
| 39.91 | 13 |
| 44.30 | 23 |
| 48.10 | 51 |
| 52.93 | 13 |
| 56.36 | 14 |

Atomic structure:
```
YBeBPt6
1.0
-3.4598 4.0896 5.4209
3.4598 -4.0896 5.4209
3.4598 4.0896 -5.4209
Y Be B Pt
2 2 2 12
direct
0.4112 0.1612 0.2500
0.5888 0.8388 0.7500
0.0000 0.0000 0.5000
0.0000 0.5000 0.0000
0.0000 0.5000 0.5000
0.5000 0.5000 0.0000
0.1078 0.3989 0.2525
0.1078 0.8552 0.7088
0.1363 0.8863 0.2500
0.3157 0.5657 0.7500
0.3536 0.1448 0.7525
0.3536 0.6011 0.2088
0.6464 0.3989 0.7912
0.6464 0.8552 0.2475
0.6843 0.4343 0.2500
0.8637 0.1137 0.7500
0.8922 0.1448 0.2912
0.8922 0.6011 0.7475
```


Repeat the first record exactly.
Starting from a structure optimized by DFT (PBE), the powder XRD pattern of Be2BOs was simulated for copper Kα.
No peak broadening, texture or thermal motion is included.

Principal peaks in the range 2θ from 10° to 80°, in order of rising 2θ:
| 2θ/deg | intensity |
| --- | --- |
| 26.38 | 56 |
| 27.04 | 93 |
| 30.94 | 100 |
| 37.51 | 65 |
| 44.03 | 30 |
| 45.28 | 34 |
| 48.39 | 36 |
| 50.56 | 32 |
| 53.07 | 24 |
| 54.35 | 27 |

Atomic structure:
```
Be2BOs
1.0
4.0892 0.0000 0.0000
0.0000 9.6267 0.0000
-1.9284 0.0000 3.6137
Be B Os
8 4 4
direct
0.1779 0.0836 0.1082
0.1779 0.9164 0.6082
0.3221 0.4164 0.8918
0.3221 0.5836 0.3918
0.6779 0.4164 0.6082
0.6779 0.5836 0.1082
0.8221 0.0836 0.3918
0.8221 0.9164 0.8918
0.0000 0.2471 0.7500
0.0000 0.7529 0.2500
0.5000 0.2529 0.2500
0.5000 0.7471 0.7500
0.0000 0.3499 0.2500
0.0000 0.6501 0.7500
0.5000 0.1501 0.7500
0.5000 0.8499 0.2500
```